Starting from a DFT-relaxed cell (PBE+U, Alexandria), the powder diffraction line list of BaNaYWO6 was calculated for λ = 1.5418 Å (Cu Kα).

Cell and atoms:
a b c (Å): 5.9476 5.9476 5.9476
angles (deg): 60.00 60.00 60.00
Positions (direct):
Ba  0.0000  0.0000  0.0000
Na  0.5000  0.5000  0.5000
Y  0.2500  0.2500  0.2500
W  0.7500  0.7500  0.7500
O  0.5174  0.5174  0.9826
O  0.5174  0.9826  0.5174
O  0.5174  0.9826  0.9826
O  0.9826  0.5174  0.5174
O  0.9826  0.5174  0.9826
O  0.9826  0.9826  0.5174

Top 10 peaks for 10 to 90 degrees two-theta, by intensity:
30.05°, I = 100; 53.36°, I = 40; 43.01°, I = 32; 18.27°, I = 30; 86.61°, I = 21; 62.46°, I = 20; 70.86°, I = 18; 21.13°, I = 18; 35.39°, I = 16; 48.40°, I = 7